(1)
For LiGdTl2, a cell relaxed with GGA-PBE gives the theoretical X-ray diffraction stick pattern in this record (Cu Kα (λ = 1.5418 Å)).

Cell: 7.3575 7.3575 7.3575 Å, 90.00 90.00 90.00°
Space group Fm-3m (No. 225)
Unique sites:
Li 0.0000 0.0000 0.0000 (multiplicity 4)
Gd 0.0000 0.0000 0.5000 (multiplicity 4)
Tl 0.2500 0.2500 0.2500 (multiplicity 8)

Main lines, by angle (10° ≤ 2θ ≤ 90°):
d [Å]  two_theta  I_rel  h k l
4.248  20.91  168  1 1 1
3.679  24.19  221  2 0 0
2.601  34.48  1000  2 2 0
1.839  49.56  182  4 0 0
1.645  55.89  95  4 2 0
1.502  61.77  379  4 2 2
1.301  72.70  118  4 4 0
1.163  83.01  168  6 2 0

---

(2)
For Pr2Pb17Se20, a cell relaxed with GGA-PBE gives the theoretical X-ray diffraction stick pattern in this record (Cu Kα (λ = 1.5418 Å)).

Cell: 19.1128 4.4082 29.1794 Å, 90.00 101.93 90.00°
Space group C2/m (No. 12)
Unique sites:
Pr 0.0966 0.0000 0.4032 (multiplicity 4)
Pb 0.0000 0.5000 0.0000 (multiplicity 2)
Pb 0.0027 0.0000 0.7521 (multiplicity 4)
Pb 0.0948 0.5000 0.6447 (multiplicity 4)
Pb 0.1011 0.5000 0.1494 (multiplicity 4)
Pb 0.1018 0.0000 0.9018 (multiplicity 4)
Pb 0.1980 0.0000 0.5506 (multiplicity 4)
Pb 0.1988 0.5000 0.7979 (multiplicity 4)
Pb 0.2011 0.0000 0.0515 (multiplicity 4)
Pb 0.2030 0.5000 0.2990 (multiplicity 4)
Se 0.0484 0.5000 0.8233 (multiplicity 4)
Se 0.0489 0.0000 0.5793 (multiplicity 4)
Se 0.0496 0.0000 0.0752 (multiplicity 4)
Se 0.0533 0.5000 0.3301 (multiplicity 4)
Se 0.1487 0.0000 0.2257 (multiplicity 4)
Se 0.1486 0.5000 0.9734 (multiplicity 4)
Se 0.1519 0.5000 0.4703 (multiplicity 4)
Se 0.1532 0.0000 0.7285 (multiplicity 4)
Se 0.2450 0.0000 0.3771 (multiplicity 4)
Se 0.2482 0.5000 0.1227 (multiplicity 4)

Main lines, by angle (10° ≤ 2θ ≤ 90°):
d [Å]  two_theta  I_rel  h k l
3.592  24.78  348  3 1 -2
3.114  28.67  1000  1 1 6
3.101  28.79  496  6 0 -4
2.202  40.99  382  0 2 0
2.197  41.08  763  7 1 2
1.797  50.82  210  6 2 -4
1.794  50.90  199  8 0 8
1.391  67.29  258  8 2 8

---

(3)
For Ti8In4CoNi3, a cell relaxed with GGA-PBE gives the theoretical X-ray diffraction stick pattern in this record (Cu Kα (λ = 1.5418 Å)).

Cell: 4.5685 4.5685 44.3830 Å, 90.00 90.00 120.00°
Space group R-3m (No. 166, hexagonal axes)
Unique sites:
Ti 0.0000 0.0000 0.0619 (multiplicity 6)
Ti 0.0000 0.0000 0.1876 (multiplicity 6)
Ti 0.0000 0.0000 0.3126 (multiplicity 6)
Ti 0.0000 0.0000 0.4375 (multiplicity 6)
In 0.0000 0.0000 0.1248 (multiplicity 6)
In 0.0000 0.0000 0.3747 (multiplicity 6)
Co 0.0000 0.0000 0.0000 (multiplicity 3)
Ni 0.0000 0.0000 0.2500 (multiplicity 6)
Ni 0.0000 0.0000 0.5000 (multiplicity 3)

Main lines, by angle (10° ≤ 2θ ≤ 90°):
d [Å]  two_theta  I_rel  h k l
3.727  23.88  131  1 0 4
3.221  27.69  250  0 1 8
2.284  39.45  1000  1 1 0
2.271  39.68  982  1 0 16
1.611  57.19  314  0 2 16
1.319  71.54  154  3 0 0
1.316  71.70  306  2 1 16
1.309  72.17  150  0 1 32

---

(4)
For Nb6O15F, a cell relaxed with GGA-PBE gives the theoretical X-ray diffraction stick pattern in this record (Cu Kα (λ = 1.5418 Å)).

Cell: 17.1144 3.9710 9.1390 Å, 90.00 90.00 90.00°
Space group Pmma (No. 51)
Unique sites:
Nb 0.0596 0.0000 0.1835 (multiplicity 4)
Nb 0.1269 0.0000 0.6027 (multiplicity 4)
Nb 0.2500 0.0000 0.3160 (multiplicity 2)
Nb 0.2500 0.0000 0.9415 (multiplicity 2)
O 0.0000 0.0000 0.0000 (multiplicity 2)
O 0.0191 0.0000 0.6630 (multiplicity 4)
O 0.0612 0.5000 0.1806 (multiplicity 4)
O 0.1300 0.5000 0.5944 (multiplicity 4)
O 0.1350 0.0000 0.3790 (multiplicity 4)
O 0.1662 0.0000 0.8036 (multiplicity 4)
O 0.1767 0.0000 0.1294 (multiplicity 4)
O 0.2500 0.0000 0.5353 (multiplicity 2)
O 0.2500 0.5000 0.9529 (multiplicity 2)
F 0.2500 0.5000 0.3052 (multiplicity 2)

Main lines, by angle (10° ≤ 2θ ≤ 90°):
d [Å]  two_theta  I_rel  h k l
3.971  22.39  1000  0 1 0
3.875  22.95  274  4 0 1
3.566  24.97  698  3 0 2
3.205  27.83  313  5 0 1
2.999  29.79  184  1 0 3
2.653  33.78  297  3 1 2
1.985  45.70  235  0 2 0
1.735  52.77  163  3 2 2

---

(5)
For CsNa2H4Cl3O2, a cell relaxed with GGA-PBE gives the theoretical X-ray diffraction stick pattern in this record (Cu Kα (λ = 1.5418 Å)).

Cell: 5.8920 9.0907 9.3162 Å, 71.97 71.68 71.16°
Space group P1 (No. 1)
Unique sites:
Cs 0.0000 0.0000 0.0000 (multiplicity 1)
Cs 0.4972 0.5029 0.4987 (multiplicity 1)
Na 0.0002 0.5039 0.9991 (multiplicity 1)
Na 0.3441 0.2529 0.2490 (multiplicity 1)
Na 0.6740 0.7513 0.7488 (multiplicity 1)
Na 0.9988 0.0076 0.4994 (multiplicity 1)
H 0.0708 0.5984 0.2582 (multiplicity 1)
H 0.3165 0.5971 0.1316 (multiplicity 1)
H 0.4289 0.9087 0.2411 (multiplicity 1)
H 0.4537 0.0935 0.6349 (multiplicity 1)
H 0.5427 0.9059 0.3716 (multiplicity 1)
H 0.5773 0.0962 0.7587 (multiplicity 1)
H 0.6826 0.4061 0.8688 (multiplicity 1)
H 0.9287 0.4091 0.7434 (multiplicity 1)
Cl 0.1060 0.2494 0.5770 (multiplicity 1)
Cl 0.1831 0.7490 0.7544 (multiplicity 1)
Cl 0.4309 0.2612 0.9284 (multiplicity 1)
Cl 0.5717 0.7430 0.0779 (multiplicity 1)
Cl 0.8198 0.2538 0.2476 (multiplicity 1)
Cl 0.8925 0.7623 0.4253 (multiplicity 1)
O 0.1861 0.5380 0.1808 (multiplicity 1)
O 0.4061 0.9688 0.3192 (multiplicity 1)
O 0.6011 0.0382 0.6788 (multiplicity 1)
O 0.8135 0.4651 0.8241 (multiplicity 1)

Main lines, by angle (10° ≤ 2θ ≤ 90°):
d [Å]  two_theta  I_rel  h k l
5.406  16.40  327  0 1 -1
5.174  17.14  433  1 1 0
4.100  21.67  536  1 2 1
3.075  29.04  1000  1 -1 2
2.946  30.34  413  2 1 1
2.929  30.52  504  0 1 3
2.836  31.55  825  -1 2 1
2.705  33.12  394  0 2 -2

---

(6)
For DyCuSn, a cell relaxed with GGA-PBE gives the theoretical X-ray diffraction stick pattern in this record (Cu Kα (λ = 1.5418 Å)).

Cell: 4.5423 4.5423 7.2850 Å, 90.00 90.00 120.00°
Space group P6_3mc (No. 186)
Unique sites:
Dy 0.0000 0.0000 0.0000 (multiplicity 2)
Cu 0.3333 0.6667 0.1817 (multiplicity 2)
Sn 0.3333 0.6667 0.7698 (multiplicity 2)

Main lines, by angle (10° ≤ 2θ ≤ 90°):
d [Å]  two_theta  I_rel  h k l
3.461  25.74  130  1 0 1
2.673  33.53  1000  1 0 2
2.271  39.69  666  1 1 0
2.066  43.81  130  1 0 3
1.731  52.90  276  2 0 2
1.421  65.72  166  1 1 4
1.377  68.12  258  2 1 2
1.311  72.02  115  3 0 0

---

(7)
For Mg5As, a cell relaxed with GGA-PBE gives the theoretical X-ray diffraction stick pattern in this record (Cu Kα (λ = 1.5418 Å)).

Cell: 11.6676 3.1444 7.4279 Å, 90.00 106.64 90.00°
Space group Cm (No. 8)
Unique sites:
Mg 0.0000 0.0000 0.0000 (multiplicity 2)
Mg 0.0263 0.0000 0.6076 (multiplicity 2)
Mg 0.1470 0.5000 0.3446 (multiplicity 2)
Mg 0.3101 0.0000 0.6903 (multiplicity 2)
Mg 0.3624 0.0000 0.2513 (multiplicity 2)
As 0.2076 0.5000 0.9545 (multiplicity 2)

Main lines, by angle (10° ≤ 2θ ≤ 90°):
d [Å]  two_theta  I_rel  h k l
7.117  12.44  358  0 0 1
5.590  15.86  189  2 0 0
2.711  33.04  225  1 1 1
2.675  33.50  160  2 0 2
2.587  34.67  371  4 0 -2
2.401  37.45  1000  3 1 0
2.380  37.80  198  4 0 1
2.372  37.93  194  0 0 3

---

(8)
For GdTiFe9Si2, a cell relaxed with GGA-PBE gives the theoretical X-ray diffraction stick pattern in this record (Cu Kα (λ = 1.5418 Å)).

Cell: 11.6500 4.8065 8.2919 Å, 90.00 134.51 90.00°
Space group Cm (No. 8)
Unique sites:
Gd 0.0000 0.0000 0.0000 (multiplicity 2)
Ti 0.0045 0.0000 0.3816 (multiplicity 2)
Fe 0.0002 0.5000 0.2294 (multiplicity 2)
Fe 0.0053 0.0000 0.6564 (multiplicity 2)
Fe 0.1425 0.5000 0.6483 (multiplicity 2)
Fe 0.2178 0.5000 0.2212 (multiplicity 2)
Fe 0.2522 0.2518 0.5036 (multiplicity 4)
Fe 0.2885 0.0000 0.7930 (multiplicity 2)
Fe 0.3568 0.0000 0.3553 (multiplicity 2)
Fe 0.4990 0.0000 0.7762 (multiplicity 2)
Si 0.2461 0.2487 0.9983 (multiplicity 4)

Main lines, by angle (10° ≤ 2θ ≤ 90°):
d [Å]  two_theta  I_rel  h k l
2.949  30.31  259  1 1 -2
2.927  30.54  236  3 1 -1
2.401  37.45  621  0 2 0
2.396  37.54  268  3 1 -3
2.088  43.34  646  1 1 2
2.079  43.53  1000  4 0 0
2.073  43.67  318  4 0 -4
2.065  43.85  646  5 1 -2